1.
# InP2Pb
Calculated powder diffractogram, CuKα. Input: a cell relaxed with GGA-PBE.
Kinematic intensities with the Lorentz-polarization factor, no thermal factor.

Principal peaks in the range 2θ = 10–90°, low angle first:
- 22.05°, d = 4.030 Å, intensity 54, hkl 1 0 -1
- 22.17°, d = 4.010 Å, intensity 53, hkl 0 1 0
- 28.91°, d = 3.088 Å, intensity 58, hkl 1 0 1
- 31.47°, d = 2.843 Å, intensity 100, hkl 1 1 -1
- 35.89°, d = 2.502 Å, intensity 25, hkl 0 0 2
- 36.73°, d = 2.447 Å, intensity 37, hkl 1 1 1
- 42.59°, d = 2.123 Å, intensity 37, hkl 0 1 2
- 43.91°, d = 2.062 Å, intensity 36, hkl 2 1 0

```
data_InP2Pb
_chemical_formula_sum 'In1 P2 Pb1'
_space_group_name_H-M_alt 'P 1 2/m 1'
_space_group_IT_number 10
_cell_length_a 4.980
_cell_length_b 4.010
_cell_length_c 5.182
_cell_angle_alpha 90.00
_cell_angle_beta 105.09
_cell_angle_gamma 90.00
loop_
_space_group_symop_operation_xyz
'x,y,z'
'-x,-y,-z'
'-x,y,-z'
'x,-y,z'
loop_
_atom_site_label
_atom_site_fract_x
_atom_site_fract_y
_atom_site_fract_z
In1 0.000 0.000 0.000
P1 0.312 0.500 0.839
Pb1 0.500 0.000 0.500
```

---

2.
# InP2Pt7Pb2
Calculated powder diffractogram, CuKα. Input: a cell relaxed with GGA-PBE.
Kinematic intensities with the Lorentz-polarization factor, no thermal factor.

Principal peaks in the range 2θ = 10–90°, low angle first:
- 11.72°, d = 7.554 Å, intensity 27, hkl 0 0 4
- 23.56°, d = 3.777 Å, intensity 40, hkl 0 0 8
- 32.60°, d = 2.747 Å, intensity 63, hkl 1 1 2
- 34.23°, d = 2.620 Å, intensity 41, hkl 1 1 4
- 36.80°, d = 2.443 Å, intensity 100, hkl 1 1 6
- 44.16°, d = 2.051 Å, intensity 55, hkl 1 1 10
- 45.95°, d = 1.975 Å, intensity 72, hkl 2 0 0
- 67.01°, d = 1.397 Å, intensity 24, hkl 2 2 0

```
data_InP2Pt7Pb2
_chemical_formula_sum 'In2 P4 Pt14 Pb4'
_space_group_name_H-M_alt 'I 4/m m m'
_space_group_IT_number 139
_space_group_name_Hall '-I 4 2'
_cell_length_a 3.950
_cell_length_b 3.950
_cell_length_c 30.214
_cell_angle_alpha 90.00
_cell_angle_beta 90.00
_cell_angle_gamma 90.00
loop_
_atom_site_label
_atom_site_fract_x
_atom_site_fract_y
_atom_site_fract_z
In1 0.000 0.000 0.000
P1 0.000 0.000 0.385
Pt1 0.000 0.000 0.309
Pt2 0.000 0.000 0.500
Pt3 0.000 0.500 0.072
Pb1 0.000 0.000 0.211
```

---

3.
# InPPd3
Calculated powder diffractogram, CuKα. Input: a cell relaxed with GGA-PBE.
Kinematic intensities with the Lorentz-polarization factor, no thermal factor.

Principal peaks in the range 2θ = 10–90°, low angle first:
- 36.25°, d = 2.478 Å, intensity 100, hkl 3 0 -2
- 36.63°, d = 2.453 Å, intensity 32, hkl 1 1 -2
- 37.44°, d = 2.402 Å, intensity 31, hkl 2 1 -1
- 38.29°, d = 2.351 Å, intensity 19, hkl 0 1 2
- 39.77°, d = 2.266 Å, intensity 21, hkl 3 0 0
- 44.04°, d = 2.056 Å, intensity 25, hkl 2 0 2
- 45.82°, d = 1.980 Å, intensity 23, hkl 2 1 -3
- 59.52°, d = 1.553 Å, intensity 16, hkl 0 2 0

```
data_InPPd3
_chemical_formula_sum 'In2 P2 Pd6'
_space_group_name_H-M_alt 'P 1 m 1'
_space_group_IT_number 6
_cell_length_a 7.592
_cell_length_b 3.106
_cell_length_c 8.032
_cell_angle_alpha 90.00
_cell_angle_beta 116.41
_cell_angle_gamma 90.00
loop_
_space_group_symop_operation_xyz
'x,y,z'
'x,-y,z'
loop_
_atom_site_label
_atom_site_fract_x
_atom_site_fract_y
_atom_site_fract_z
In1 0.000 0.000 0.000
In2 0.458 0.500 0.059
P1 0.451 0.000 0.558
P2 0.983 0.000 0.475
Pd1 0.280 0.500 0.297
Pd2 0.282 0.000 0.743
Pd3 0.635 0.500 0.807
Pd4 0.638 0.000 0.390
Pd5 0.872 0.500 0.226
Pd6 0.934 0.500 0.686
```

---

4.
# In5P2Pd12
Calculated powder diffractogram, CuKα. Input: a cell relaxed with GGA-PBE.
Kinematic intensities with the Lorentz-polarization factor, no thermal factor.

Principal peaks in the range 2θ = 10–90°, low angle first:
- 35.37°, d = 2.538 Å, intensity 58, hkl 2 2 -2
- 36.04°, d = 2.492 Å, intensity 87, hkl 4 2 0
- 37.41°, d = 2.404 Å, intensity 100, hkl 5 1 -2
- 39.46°, d = 2.284 Å, intensity 41, hkl 4 2 -2
- 41.03°, d = 2.200 Å, intensity 78, hkl 0 0 3
- 41.85°, d = 2.159 Å, intensity 43, hkl 4 2 1
- 42.28°, d = 2.138 Å, intensity 61, hkl 5 1 1
- 44.70°, d = 2.027 Å, intensity 61, hkl 1 3 -2

```
data_In5P2Pd12
_chemical_formula_sum 'In10 P4 Pd24'
_space_group_name_H-M_alt 'C 1 2/m 1'
_space_group_IT_number 12
_cell_length_a 14.209
_cell_length_b 7.474
_cell_length_c 7.009
_cell_angle_alpha 90.00
_cell_angle_beta 109.72
_cell_angle_gamma 90.00
loop_
_space_group_symop_operation_xyz
'x,y,z'
'-x,-y,-z'
'-x,y,-z'
'x,-y,z'
'x+1/2,y+1/2,z'
'-x+1/2,-y+1/2,-z'
'-x+1/2,y+1/2,-z'
'x+1/2,-y+1/2,z'
loop_
_atom_site_label
_atom_site_fract_x
_atom_site_fract_y
_atom_site_fract_z
In1 0.000 0.000 0.000
In2 0.224 0.500 0.366
In3 0.231 0.000 0.032
P1 0.000 0.256 0.500
Pd1 0.018 0.500 0.300
Pd2 0.068 0.000 0.694
Pd3 0.110 0.305 0.022
Pd4 0.172 0.305 0.639
```